Structure and theoretical powder XRD pattern of LiHo2Ag2W4O16 (a DFT-relaxed cell (GGA+U, Alexandria); Cu Kα (λ = 1.5418 Å)).
No peak broadening, texture or thermal motion is included.

Largest 8 diffraction maxima, sorted by position, 2θ from 10° to 90°:
d_spacing	2θ (°)	intensity
3.753	23.71	14
3.258	27.37	100
3.245	27.49	21
3.038	29.40	49
2.873	31.12	36
2.602	34.46	15
2.028	44.68	19
1.826	49.94	16

Cell and atoms:
```
LiHo2Ag2W4O16
1.0
5.194 -5.461 0.000
5.194 5.461 0.000
-4.589 0.000 5.747
Li Ho Ag W O
1 2 2 4 16
Direct
0.000 0.000 0.000
0.287 0.713 0.000
0.713 0.287 0.000
0.311 0.311 0.467
0.689 0.689 0.533
0.161 0.839 0.500
0.237 0.237 0.976
0.763 0.763 0.024
0.839 0.161 0.500
0.013 0.013 0.338
0.048 0.292 0.089
0.103 0.363 0.766
0.216 0.696 0.653
0.292 0.048 0.089
0.304 0.784 0.347
0.363 0.103 0.766
0.464 0.464 0.153
0.536 0.536 0.847
0.637 0.897 0.234
0.696 0.216 0.653
0.708 0.952 0.911
0.784 0.304 0.347
0.897 0.637 0.234
0.952 0.708 0.911
0.987 0.987 0.662
```